Structure and theoretical powder XRD pattern of KRb12Na2 (a DFT-relaxed cell (PBE, Alexandria); CuKα).
Kinematic intensities with the Lorentz-polarization factor, no thermal factor.

Largest 10 diffraction maxima, in order of rising 2θ, 2θ from 10° to 80°:
2θ 14.80, intensity 61
2θ 20.38, intensity 88
2θ 22.18, intensity 38
2θ 22.45, intensity 29
2θ 22.61, intensity 82
2θ 23.41, intensity 77
2θ 24.89, intensity 100
2θ 28.06, intensity 71
2θ 36.32, intensity 51
2θ 43.28, intensity 49

Structure:
Cell lengths 8.994, 8.994, 35.420 Å; angles 90.00, 90.00, 90.00 degrees
Positions (direct):
K (0.250, 0.750, 0.000)
K (0.750, 0.250, 0.000)
Rb (0.000, 0.000, 0.102)
Rb (0.000, 0.000, 0.898)
Rb (0.000, 0.500, 0.102)
Rb (0.000, 0.500, 0.898)
Rb (0.070, 0.570, 0.438)
Rb (0.070, 0.930, 0.562)
Rb (0.250, 0.250, 0.207)
Rb (0.250, 0.250, 0.333)
Rb (0.250, 0.250, 0.667)
Rb (0.250, 0.250, 0.793)
Rb (0.430, 0.570, 0.562)
Rb (0.430, 0.930, 0.438)
Rb (0.500, 0.000, 0.102)
Rb (0.500, 0.000, 0.898)
Rb (0.500, 0.500, 0.102)
Rb (0.500, 0.500, 0.898)
Rb (0.570, 0.070, 0.562)
Rb (0.570, 0.430, 0.438)
Rb (0.750, 0.750, 0.207)
Rb (0.750, 0.750, 0.333)
Rb (0.750, 0.750, 0.667)
Rb (0.750, 0.750, 0.793)
Rb (0.930, 0.070, 0.438)
Rb (0.930, 0.430, 0.562)
Na (0.250, 0.750, 0.196)
Na (0.250, 0.750, 0.804)
Na (0.750, 0.250, 0.196)
Na (0.750, 0.250, 0.804)

***

Structure and theoretical powder XRD pattern of BaNbGa2 (a DFT-relaxed cell (PBE, Alexandria); CuKα).
Kinematic intensities with the Lorentz-polarization factor, no thermal factor.

Largest 10 diffraction maxima, in order of rising 2θ, 2θ from 10° to 80°:
2θ 22.22, intensity 27
2θ 25.76, intensity 100
2θ 33.98, intensity 24
2θ 35.39, intensity 18
2θ 37.97, intensity 35
2θ 39.15, intensity 22
2θ 39.37, intensity 32
2θ 52.96, intensity 36
2θ 56.01, intensity 23
2θ 63.46, intensity 15

Structure:
Cell lengths 9.932, 9.932, 9.932 Å; angles 149.19, 149.19, 44.13 degrees
Positions (direct):
Ba (0.375, 0.625, 0.750)
Ba (0.625, 0.375, 0.250)
Nb (0.125, 0.875, 0.250)
Nb (0.875, 0.125, 0.750)
Ga (0.000, 0.000, 0.000)
Ga (0.000, 0.000, 0.500)
Ga (0.000, 0.500, 0.000)
Ga (0.500, 0.000, 0.500)

***

Structure and theoretical powder XRD pattern of CsDyMgCl6 (a DFT-relaxed cell (PBE, Alexandria); CuKα).
Kinematic intensities with the Lorentz-polarization factor, no thermal factor.

Largest 10 diffraction maxima, in order of rising 2θ, 2θ from 10° to 80°:
2θ 11.33, intensity 16
2θ 18.86, intensity 100
2θ 26.18, intensity 15
2θ 28.61, intensity 14
2θ 32.47, intensity 20
2θ 34.97, intensity 51
2θ 42.18, intensity 26
2θ 46.20, intensity 16
2θ 46.54, intensity 16
2θ 54.17, intensity 21

Structure:
Cell lengths 6.807, 6.807, 7.809 Å; angles 90.00, 90.00, 120.00 degrees
Positions (direct):
Cs (0.000, 0.000, 0.000)
Dy (0.667, 0.333, 0.500)
Mg (0.333, 0.667, 0.500)
Cl (0.013, 0.385, 0.691)
Cl (0.013, 0.627, 0.309)
Cl (0.373, 0.385, 0.309)
Cl (0.373, 0.987, 0.691)
Cl (0.615, 0.627, 0.691)
Cl (0.615, 0.987, 0.309)

***

Structure and theoretical powder XRD pattern of La2Tb4SmTm (a DFT-relaxed cell (PBE, Alexandria); CuKα).
Kinematic intensities with the Lorentz-polarization factor, no thermal factor.

Largest 10 diffraction maxima, in order of rising 2θ, 2θ from 10° to 80°:
2θ 26.76, intensity 67
2θ 30.03, intensity 50
2θ 30.16, intensity 100
2θ 40.66, intensity 44
2θ 40.75, intensity 88
2θ 53.41, intensity 20
2θ 60.72, intensity 27
2θ 60.94, intensity 13
2θ 64.11, intensity 34
2θ 69.43, intensity 18

Structure:
Cell lengths 9.564, 9.564, 6.834 Å; angles 110.92, 110.92, 88.32 degrees
Positions (direct):
La (0.000, 0.000, 0.000)
La (0.000, 0.000, 0.500)
La (0.000, 0.500, 0.000)
La (0.500, 0.000, 0.500)
Tb (0.256, 0.257, 0.507)
Tb (0.256, 0.743, 0.501)
Tb (0.257, 0.256, 0.007)
Tb (0.257, 0.744, 0.999)
Tb (0.743, 0.256, 0.001)
Tb (0.743, 0.744, 0.993)
Tb (0.744, 0.257, 0.499)
Tb (0.744, 0.743, 0.493)
Sm (0.000, 0.500, 0.500)
Sm (0.500, 0.000, 0.000)
Tm (0.500, 0.500, 0.000)
Tm (0.500, 0.500, 0.500)

***

Structure and theoretical powder XRD pattern of La2Si3Au6 (a DFT-relaxed cell (PBE, Alexandria); CuKα).
Kinematic intensities with the Lorentz-polarization factor, no thermal factor.

Largest 10 diffraction maxima, in order of rising 2θ, 2θ from 10° to 80°:
2θ 30.71, intensity 100
2θ 35.37, intensity 27
2θ 40.29, intensity 23
2θ 41.00, intensity 64
2θ 46.87, intensity 14
2θ 55.19, intensity 15
2θ 58.80, intensity 17
2θ 63.97, intensity 14
2θ 67.34, intensity 28
2θ 68.24, intensity 10

Structure:
Cell lengths 7.754, 7.754, 4.409 Å; angles 90.00, 90.00, 120.00 degrees
Positions (direct):
La (0.333, 0.667, 0.000)
La (0.667, 0.333, 0.000)
Si (0.000, 0.650, 0.500)
Si (0.350, 0.350, 0.500)
Si (0.650, 0.000, 0.500)
Au (0.000, 0.330, 0.500)
Au (0.000, 0.789, 0.000)
Au (0.211, 0.211, 0.000)
Au (0.330, 0.000, 0.500)
Au (0.670, 0.670, 0.500)
Au (0.789, 0.000, 0.000)

***

Structure and theoretical powder XRD pattern of CsTlAgCl4 (a DFT-relaxed cell (PBE, Alexandria); CuKα).
Kinematic intensities with the Lorentz-polarization factor, no thermal factor.

Largest 10 diffraction maxima, in order of rising 2θ, 2θ from 10° to 80°:
2θ 23.52, intensity 100
2θ 24.32, intensity 87
2θ 31.98, intensity 24
2θ 32.29, intensity 18
2θ 32.60, intensity 42
2θ 34.66, intensity 63
2θ 40.84, intensity 16
2θ 42.26, intensity 22
2θ 42.38, intensity 22
2θ 48.10, intensity 23

Structure:
Cell lengths 9.083, 9.083, 7.333 Å; angles 90.00, 90.00, 132.58 degrees
Positions (direct):
Cs (0.104, 0.896, 0.750)
Cs (0.896, 0.104, 0.250)
Tl (0.385, 0.615, 0.750)
Tl (0.615, 0.385, 0.250)
Ag (0.254, 0.746, 0.250)
Ag (0.746, 0.254, 0.750)
Cl (0.000, 0.500, 0.000)
Cl (0.000, 0.500, 0.500)
Cl (0.098, 0.902, 0.250)
Cl (0.411, 0.589, 0.250)
Cl (0.500, 0.000, 0.000)
Cl (0.500, 0.000, 0.500)
Cl (0.589, 0.411, 0.750)
Cl (0.902, 0.098, 0.750)